Structure and theoretical powder XRD pattern of Nd2Hg3Bi3 (DFT lattice parameters and positions (PBE); Cu Kα X-rays).
Kinematic intensities with the Lorentz-polarization factor, no thermal factor.

Structural model:
a = 4.7259 Å, b = 5.0613 Å, c = 9.4970 Å
α = 90.00°, β = 90.00°, γ = 90.00°
Space group Pmmm (No. 47)
Symmetry-distinct sites (fractional):
Nd 0.0000 0.0000 0.2460 x2
Hg 0.0000 0.5000 0.0000 x1
Hg 0.5000 0.5000 0.2354 x2
Bi 0.0000 0.5000 0.5000 x1
Bi 0.5000 0.0000 0.0000 x1
Bi 0.5000 0.0000 0.5000 x1

Principal peaks in the range 2θ from 10° to 80°, sorted by position:
| d [Å] | 2theta | I (rel.) |
| --- | --- | --- |
| 2.793 | 32.04 | 100 |
| 2.531 | 35.47 | 19 |
| 2.374 | 37.90 | 16 |
| 2.363 | 38.08 | 16 |
| 1.507 | 61.55 | 16 |
| 1.434 | 65.05 | 14 |

=====

Structure and theoretical powder XRD pattern of Nd8HgBi3Te4 (DFT lattice parameters and positions (PBE); Cu Kα X-rays).
Kinematic intensities with the Lorentz-polarization factor, no thermal factor.

Structural model:
a = 9.0815 Å, b = 9.0815 Å, c = 22.2394 Å
α = 90.00°, β = 90.00°, γ = 120.00°
Space group R-3m (No. 166, hexagonal axes)
Symmetry-distinct sites (fractional):
Nd 0.0000 0.0000 0.2489 x6
Nd 0.0047 0.5024 0.2488 x18
Hg 0.0000 0.0000 0.5000 x3
Bi 0.0000 0.5000 0.5000 x9
Te 0.0000 0.0000 0.0000 x3
Te 0.0000 0.5000 0.0000 x9

Principal peaks in the range 2θ from 10° to 80°, sorted by position:
| d [Å] | 2theta | I (rel.) |
| --- | --- | --- |
| 3.211 | 27.79 | 100 |
| 2.270 | 39.70 | 78 |
| 1.854 | 49.15 | 28 |
| 1.605 | 57.40 | 13 |
| 1.436 | 64.95 | 37 |
| 1.311 | 72.06 | 27 |

=====

Structure and theoretical powder XRD pattern of PuNpHgBi (DFT lattice parameters and positions (PBE); Cu Kα X-rays).
Kinematic intensities with the Lorentz-polarization factor, no thermal factor.

Structural model:
a = 7.6232 Å, b = 7.6232 Å, c = 7.6232 Å
α = 90.00°, β = 90.00°, γ = 90.00°
Space group F-43m (No. 216)
Symmetry-distinct sites (fractional):
Pu 0.0000 0.0000 0.0000 x4
Np 0.0000 0.0000 0.5000 x4
Hg 0.2500 0.2500 0.2500 x4
Bi 0.2500 0.2500 0.7500 x4

Principal peaks in the range 2θ from 10° to 80°, sorted by position:
| d [Å] | 2theta | I (rel.) |
| --- | --- | --- |
| 3.812 | 23.34 | 1 |
| 2.695 | 33.24 | 100 |
| 1.906 | 47.72 | 19 |
| 1.556 | 59.40 | 39 |
| 1.348 | 69.79 | 12 |
| 1.205 | 79.52 | 18 |

=====

Structure and theoretical powder XRD pattern of HgBiOsO6 (DFT lattice parameters and positions (PBE); Cu Kα X-rays).
Kinematic intensities with the Lorentz-polarization factor, no thermal factor.

Structural model:
a = 5.6437 Å, b = 9.7800 Å, c = 4.7648 Å
α = 90.00°, β = 90.07°, γ = 90.00°
Space group C2 (No. 5)
Symmetry-distinct sites (fractional):
Hg 0.0000 0.0000 0.0000 x2
Bi 0.0000 0.6667 0.5000 x2
Os 0.0000 0.3334 0.5000 x2
O 0.1310 0.4767 0.7282 x4
O 0.1498 0.1964 0.7282 x4
O 0.2199 0.8272 0.7279 x4

Principal peaks in the range 2θ from 10° to 80°, sorted by position:
| d [Å] | 2theta | I (rel.) |
| --- | --- | --- |
| 3.412 | 26.12 | 100 |
| 2.823 | 31.70 | 58 |
| 2.175 | 41.52 | 29 |
| 1.821 | 50.11 | 44 |
| 1.723 | 53.16 | 29 |
| 1.630 | 56.47 | 16 |

=====

Structure and theoretical powder XRD pattern of HgBi2TeO6 (DFT lattice parameters and positions (PBE); Cu Kα X-rays).
Kinematic intensities with the Lorentz-polarization factor, no thermal factor.

Structural model:
a = 6.0400 Å, b = 6.0461 Å, c = 6.0475 Å
α = 61.54°, β = 61.58°, γ = 61.51°
Space group P1 (No. 1)
Symmetry-distinct sites (fractional):
Hg 0.0000 0.0000 0.0000 x1
Bi 0.2583 0.2579 0.2576 x1
Bi 0.7751 0.7751 0.7755 x1
Te 0.4781 0.4777 0.4788 x1
O 0.1500 0.5929 0.8756 x1
O 0.1519 0.6518 0.3630 x1
O 0.3627 0.1522 0.6522 x1
O 0.5948 0.8767 0.1483 x1
O 0.6512 0.3626 0.1529 x1
O 0.8758 0.1487 0.5939 x1

Principal peaks in the range 2θ from 10° to 80°, sorted by position:
| d [Å] | 2theta | I (rel.) |
| --- | --- | --- |
| 3.092 | 28.87 | 100 |
| 3.021 | 29.57 | 83 |
| 2.161 | 41.80 | 39 |
| 1.785 | 51.16 | 26 |
| 1.772 | 51.59 | 35 |
| 1.546 | 59.81 | 14 |

=====

Structure and theoretical powder XRD pattern of Ti2HgBi2O7 (DFT lattice parameters and positions (PBE); Cu Kα X-rays).
Kinematic intensities with the Lorentz-polarization factor, no thermal factor.

Structural model:
a = 3.9195 Å, b = 14.8878 Å, c = 7.6695 Å
α = 90.00°, β = 90.00°, γ = 90.00°
Space group Imm2 (No. 44)
Symmetry-distinct sites (fractional):
Ti 0.0000 0.1183 0.0000 x4
Hg 0.0000 0.5000 0.0830 x2
Bi 0.0000 0.2059 0.4711 x4
O 0.0000 0.0000 0.9278 x2
O 0.0000 0.1327 0.2281 x4
O 0.0000 0.2415 0.8826 x4
O 0.0000 0.3566 0.4589 x4

Principal peaks in the range 2θ from 10° to 80°, sorted by position:
| d [Å] | 2theta | I (rel.) |
| --- | --- | --- |
| 6.818 | 12.98 | 33 |
| 3.835 | 23.19 | 52 |
| 3.409 | 26.14 | 33 |
| 3.160 | 28.24 | 100 |
| 3.076 | 29.03 | 51 |
| 2.776 | 32.25 | 53 |

=====

Structure and theoretical powder XRD pattern of Pa2HgBi (DFT lattice parameters and positions (PBE); Cu Kα X-rays).
Kinematic intensities with the Lorentz-polarization factor, no thermal factor.

Structural model:
a = 3.5567 Å, b = 3.5567 Å, c = 8.3294 Å
α = 90.00°, β = 90.00°, γ = 90.00°
Space group P4/mmm (No. 123)
Symmetry-distinct sites (fractional):
Pa 0.0000 0.0000 0.2486 x2
Hg 0.5000 0.5000 0.5000 x1
Bi 0.5000 0.5000 0.0000 x1

Principal peaks in the range 2θ from 10° to 80°, sorted by position:
| d [Å] | 2theta | I (rel.) |
| --- | --- | --- |
| 2.705 | 33.12 | 100 |
| 2.515 | 35.70 | 41 |
| 1.778 | 51.38 | 15 |
| 1.604 | 57.46 | 21 |
| 1.486 | 62.51 | 34 |
| 1.352 | 69.51 | 12 |

=====

Structure and theoretical powder XRD pattern of Pa2HgBi3 (DFT lattice parameters and positions (PBE); Cu Kα X-rays).
Kinematic intensities with the Lorentz-polarization factor, no thermal factor.

Structural model:
a = 4.4550 Å, b = 4.4550 Å, c = 8.7789 Å
α = 90.00°, β = 90.00°, γ = 90.00°
Space group P-4m2 (No. 115)
Symmetry-distinct sites (fractional):
Pa 0.0000 0.5000 0.2206 x2
Hg 0.0000 0.0000 0.5000 x1
Bi 0.0000 0.5000 0.8514 x2
Bi 0.5000 0.5000 0.5000 x1

Principal peaks in the range 2θ from 10° to 80°, sorted by position:
| d [Å] | 2theta | I (rel.) |
| --- | --- | --- |
| 2.965 | 30.14 | 89 |
| 2.926 | 30.55 | 42 |
| 2.559 | 35.06 | 100 |
| 2.227 | 40.50 | 61 |
| 1.772 | 51.56 | 41 |
| 1.341 | 70.16 | 28 |

=====

Structure and theoretical powder XRD pattern of Pa3HgBi6 (DFT lattice parameters and positions (PBE); Cu Kα X-rays).
Kinematic intensities with the Lorentz-polarization factor, no thermal factor.

Structural model:
a = 4.6185 Å, b = 4.6185 Å, c = 19.2507 Å
α = 90.00°, β = 90.00°, γ = 120.00°
Space group P-3m1 (No. 164)
Symmetry-distinct sites (fractional):
Pa 0.0000 0.0000 0.0000 x1
Pa 0.0000 0.0000 0.3185 x2
Hg 0.0000 0.0000 0.5000 x1
Bi 0.3333 0.6667 0.0849 x2
Bi 0.3333 0.6667 0.4068 x2
Bi 0.3333 0.6667 0.7648 x2

Principal peaks in the range 2θ from 10° to 80°, sorted by position:
| d [Å] | 2theta | I (rel.) |
| --- | --- | --- |
| 3.394 | 26.26 | 100 |
| 2.503 | 35.88 | 65 |
| 2.309 | 39.00 | 60 |
| 1.909 | 47.63 | 21 |
| 1.697 | 54.03 | 21 |
| 1.368 | 68.63 | 20 |

=====

Structure and theoretical powder XRD pattern of HgBi2Pb6 (DFT lattice parameters and positions (PBE); Cu Kα X-rays).
Kinematic intensities with the Lorentz-polarization factor, no thermal factor.

Structural model:
a = 15.6891 Å, b = 3.4806 Å, c = 12.0434 Å
α = 90.00°, β = 119.52°, γ = 90.00°
Space group C2/m (No. 12)
Symmetry-distinct sites (fractional):
Hg 0.0000 0.0000 0.0000 x2
Bi 0.1582 0.5000 0.3023 x4
Pb 0.0505 0.0000 0.7597 x4
Pb 0.1242 0.5000 0.5515 x4
Pb 0.2243 0.0000 0.1035 x4

Principal peaks in the range 2θ from 10° to 80°, sorted by position:
| d [Å] | 2theta | I (rel.) |
| --- | --- | --- |
| 2.988 | 29.91 | 100 |
| 2.896 | 30.88 | 47 |
| 2.857 | 31.31 | 98 |
| 2.765 | 32.38 | 50 |
| 2.589 | 34.65 | 49 |
| 2.573 | 34.87 | 93 |

=====

Structure and theoretical powder XRD pattern of Hg4Bi4Pb (DFT lattice parameters and positions (PBE); Cu Kα X-rays).
Kinematic intensities with the Lorentz-polarization factor, no thermal factor.

Structural model:
a = 4.6187 Å, b = 7.0772 Å, c = 8.9111 Å
α = 85.72°, β = 89.65°, γ = 71.07°
Space group P-1 (No. 2)
Symmetry-distinct sites (fractional):
Hg 0.0068 0.4859 0.3249 x2
Hg 0.1692 0.1587 0.9967 x2
Bi 0.3286 0.8437 0.6814 x2
Bi 0.3402 0.8215 0.3235 x2
Pb 0.5000 0.5000 0.0000 x1

Principal peaks in the range 2θ from 10° to 80°, sorted by position:
| d [Å] | 2theta | I (rel.) |
| --- | --- | --- |
| 3.069 | 29.10 | 46 |
| 2.964 | 30.15 | 100 |
| 2.956 | 30.24 | 33 |
| 2.670 | 33.57 | 67 |
| 2.309 | 39.00 | 35 |
| 2.225 | 40.55 | 31 |

=====

Structure and theoretical powder XRD pattern of Hg5Bi2Pb5 (DFT lattice parameters and positions (PBE); Cu Kα X-rays).
Kinematic intensities with the Lorentz-polarization factor, no thermal factor.

Structural model:
a = 5.8785 Å, b = 7.0106 Å, c = 9.0900 Å
α = 76.63°, β = 76.56°, γ = 88.78°
Space group P-1 (No. 2)
Symmetry-distinct sites (fractional):
Hg 0.0000 0.0000 0.0000 x1
Hg 0.4671 0.0851 0.6838 x2
Hg 0.4884 0.7466 0.0076 x2
Bi 0.0478 0.1646 0.3249 x2
Pb 0.0000 0.5000 0.0000 x1
Pb 0.0201 0.6858 0.3334 x2
Pb 0.4691 0.5968 0.6626 x2

Principal peaks in the range 2θ from 10° to 80°, sorted by position:
| d [Å] | 2theta | I (rel.) |
| --- | --- | --- |
| 2.866 | 31.21 | 100 |
| 2.857 | 31.31 | 89 |
| 2.845 | 31.44 | 98 |
| 2.741 | 32.67 | 87 |
| 2.543 | 35.29 | 74 |
| 2.507 | 35.82 | 68 |